For Ho6Ni20P13, a PBE-relaxed structure gives the simulated powder XRD pattern in this record (Cu Kα (weighted mean of Kα1 and Kα2)).
Peak positions follow from Bragg's law for the DFT cell and can differ from measured ones.

Cell and atoms:
Lattice parameters (Å, degrees): 12.645 12.645 3.744 90.00 90.00 120.00
Element x y z (fractional)
Ho (0.051, 0.855, 0.000)
Ho (0.145, 0.196, 0.000)
Ho (0.522, 0.137, 0.500)
Ho (0.615, 0.478, 0.500)
Ho (0.804, 0.949, 0.000)
Ho (0.863, 0.385, 0.500)
Ni (0.000, 0.000, 0.500)
Ni (0.013, 0.588, 0.000)
Ni (0.086, 0.349, 0.500)
Ni (0.183, 0.589, 0.500)
Ni (0.229, 0.758, 0.000)
Ni (0.242, 0.471, 0.000)
Ni (0.263, 0.914, 0.500)
Ni (0.312, 0.084, 0.000)
Ni (0.355, 0.254, 0.500)
Ni (0.406, 0.817, 0.500)
Ni (0.411, 0.594, 0.500)
Ni (0.412, 0.425, 0.000)
Ni (0.529, 0.771, 0.000)
Ni (0.575, 0.987, 0.000)
Ni (0.651, 0.737, 0.500)
Ni (0.667, 0.333, 0.000)
Ni (0.746, 0.101, 0.500)
Ni (0.772, 0.688, 0.000)
Ni (0.899, 0.645, 0.500)
Ni (0.916, 0.228, 0.000)
P (0.050, 0.432, 0.000)
P (0.101, 0.714, 0.500)
P (0.196, 0.053, 0.500)
P (0.286, 0.387, 0.500)
P (0.333, 0.667, 0.000)
P (0.382, 0.950, 0.000)
P (0.471, 0.281, 0.000)
P (0.568, 0.618, 0.000)
P (0.613, 0.899, 0.500)
P (0.719, 0.190, 0.000)
P (0.810, 0.529, 0.000)
P (0.858, 0.804, 0.500)
P (0.947, 0.142, 0.500)

Principal peaks in the range 2θ = 15–90°, sorted by position:
21.47°, d 4.139, I 9.8; 25.13°, d 3.543, I 9.9; 29.41°, d 3.037, I 11.9; 37.22°, d 2.415, I 20.2; 37.64°, d 2.390, I 12.0; 38.15°, d 2.359, I 100.0; 43.74°, d 2.069, I 10.4; 46.15°, d 1.967, I 10.6; 48.63°, d 1.872, I 20.8; 52.16°, d 1.754, I 20.0; 58.09°, d 1.588, I 12.5; 74.08°, d 1.280, I 13.6



For BaHoO2F, a PBE-relaxed structure gives the simulated powder XRD pattern in this record (Cu Kα (weighted mean of Kα1 and Kα2)).
Peak positions follow from Bragg's law for the DFT cell and can differ from measured ones.

Cell and atoms:
Lattice parameters (Å, degrees): 4.420 4.420 4.568 90.00 90.00 90.00
Element x y z (fractional)
Ba (0.000, 0.000, 0.000)
Ho (0.500, 0.500, 0.406)
O (0.000, 0.500, 0.337)
O (0.500, 0.000, 0.337)
F (0.500, 0.500, 0.889)

Principal peaks in the range 2θ = 15–90°, sorted by position:
19.43°, d 4.568, I 10.5; 28.09°, d 3.176, I 100.0; 28.56°, d 3.125, I 54.4; 39.45°, d 2.284, I 10.6; 40.83°, d 2.210, I 31.6; 44.66°, d 2.029, I 13.6; 49.42°, d 1.844, I 19.6; 50.30°, d 1.814, I 40.8; 58.08°, d 1.588, I 13.2; 59.12°, d 1.563, I 10.2; 66.95°, d 1.398, I 10.0; 81.25°, d 1.184, I 10.5



For Ca5Hg2Sb5, a PBE-relaxed structure gives the simulated powder XRD pattern in this record (Cu Kα (weighted mean of Kα1 and Kα2)).
Peak positions follow from Bragg's law for the DFT cell and can differ from measured ones.

Cell and atoms:
Lattice parameters (Å, degrees): 8.661 8.661 11.592 125.73 125.73 30.76
Element x y z (fractional)
Ca (0.000, 0.000, 0.000)
Ca (0.099, 0.099, 0.401)
Ca (0.185, 0.185, 0.817)
Ca (0.815, 0.815, 0.183)
Ca (0.901, 0.901, 0.599)
Hg (0.365, 0.365, 0.801)
Hg (0.635, 0.635, 0.199)
Sb (0.271, 0.271, 0.347)
Sb (0.425, 0.425, 0.129)
Sb (0.500, 0.500, 0.500)
Sb (0.575, 0.575, 0.871)
Sb (0.729, 0.729, 0.653)

Principal peaks in the range 2θ = 15–90°, sorted by position:
15.38°, d 5.761, I 23.1; 20.45°, d 4.342, I 63.4; 23.39°, d 3.803, I 33.2; 30.95°, d 2.889, I 31.2; 32.17°, d 2.783, I 68.6; 34.90°, d 2.571, I 100.0; 35.31°, d 2.542, I 31.1; 39.21°, d 2.297, I 38.4; 40.49°, d 2.228, I 17.6; 40.81°, d 2.211, I 19.8; 44.01°, d 2.058, I 18.8; 53.77°, d 1.705, I 22.1